# 1
Be15Nb6Cu8: theoretical powder diffraction line list (copper Kα), based on a DFT-relaxed cell (GGA-PBE, Alexandria).

Crystal structure
```
data_Be15Nb6Cu8
_chemical_formula_sum 'Be60 Nb24 Cu32'
_cell_length_a 10.853
_cell_length_b 10.853
_cell_length_c 10.853
_cell_angle_alpha 90.00
_cell_angle_beta 90.00
_cell_angle_gamma 90.00
_symmetry_space_group_name_H-M 'F m -3 m'
_symmetry_Int_Tables_number 225
_symmetry_space_group_name_Hall '-F 4 2 3'
loop_
_atom_site_label
_atom_site_type_symbol
_atom_site_fract_x
_atom_site_fract_y
_atom_site_fract_z
Be1 Be 0.000 0.000 0.000
Be2 Be 0.000 0.250 0.250
Be3 Be 0.174 0.174 0.326
Nb1 Nb 0.000 0.000 0.307
Cu1 Cu 0.123 0.123 0.123
```

Largest 8 diffraction maxima, by angle, 10 to 90 degrees two-theta:
hkl 2 0 0, 2θ 16.3, rel. 406; hkl 2 2 2, 2θ 28.5, rel. 502; hkl 3 3 1, 2θ 36.1, rel. 975; hkl 4 2 2, 2θ 40.7, rel. 269; hkl 5 1 1, 2θ 43.3, rel. 1000; hkl 4 4 0, 2θ 47.4, rel. 805; hkl 7 3 3, 2θ 71.1, rel. 240; hkl 5 5 5, 2θ 75.9, rel. 226


# 2
BeCuNi2: theoretical powder diffraction line list (copper Kα), based on a DFT-relaxed cell (GGA-PBE, Alexandria).

Crystal structure
```
data_BeCuNi2
_chemical_formula_sum 'Be2 Cu2 Ni4'
_cell_length_a 8.712
_cell_length_b 2.642
_cell_length_c 3.990
_cell_angle_alpha 90.00
_cell_angle_beta 117.06
_cell_angle_gamma 90.00
_symmetry_space_group_name_H-M 'C 1 2/m 1'
_symmetry_Int_Tables_number 12
_symmetry_space_group_name_Hall '-C 2y'
loop_
_atom_site_label
_atom_site_type_symbol
_atom_site_fract_x
_atom_site_fract_y
_atom_site_fract_z
Be1 Be 0.000 0.000 0.000
Cu1 Cu 0.000 0.500 0.500
Ni1 Ni 0.227 0.500 0.227
```

Largest 8 diffraction maxima, by angle, 10 to 90 degrees two-theta:
hkl 2 0 0, 2θ 22.9, rel. 112; hkl 2 0 -1, 2θ 25.1, rel. 138; hkl 1 1 0, 2θ 35.9, rel. 194; hkl 2 0 1, 2θ 41.6, rel. 133; hkl 4 0 -1, 2θ 41.7, rel. 131; hkl 2 0 -2, 2θ 45.5, rel. 302; hkl 4 0 0, 2θ 46.8, rel. 220; hkl 1 1 1, 2θ 47.5, rel. 1000


# 3
BeCuNi2: theoretical powder diffraction line list (copper Kα), based on a DFT-relaxed cell (GGA-PBE, Alexandria).

Crystal structure
```
data_BeCuNi2
_chemical_formula_sum 'Be3 Cu3 Ni6'
_cell_length_a 2.4828
_cell_length_b 2.4828
_cell_length_c 23.1546
_cell_angle_alpha 90.00
_cell_angle_beta 90.00
_cell_angle_gamma 120.00
_symmetry_space_group_name_H-M 'R -3 m'
_symmetry_Int_Tables_number 166
_symmetry_space_group_name_Hall '-R 3 2"'
loop_
_atom_site_label
_atom_site_type_symbol
_atom_site_fract_x
_atom_site_fract_y
_atom_site_fract_z
Be1 Be 0.0000 0.0000 0.0000
Cu1 Cu 0.0000 0.0000 0.5000
Ni1 Ni 0.0000 0.0000 0.2581
```

Largest 8 diffraction maxima, by angle, 10 to 90 degrees two-theta:
hkl 0 0 3, 2θ 11.5, rel. 393; hkl 0 0 9, 2θ 34.9, rel. 249; hkl 1 0 1, 2θ 42.2, rel. 145; hkl 1 0 4, 2θ 45.0, rel. 1000; hkl 0 1 5, 2θ 46.6, rel. 203; hkl 0 0 12, 2θ 47.1, rel. 232; hkl 0 1 8, 2θ 53.1, rel. 548; hkl 1 1 0, 2θ 76.8, rel. 187